Entry 1:
Structure and simulated powder XRD pattern of Li2TmMg10 (a crystal structure in Alexandria, relaxed with PBE; Cu Kα).
No peak broadening, texture or thermal motion is included.

Largest 10 diffraction maxima, in order of falling intensity, 2θ from 10° to 80°:
index  2θ (°)  I/Imax
0 0 1  12.22  100
1 0 0  17.94  71
1 1 3  35.44  69
1 2 -1  30.66  62
0 1 1  17.33  54
1 1 -2  35.31  53
1 1 -1  24.99  51
1 1 2  25.10  51
0 2 1  27.58  51
0 2 2  35.08  46

Atomic structure:
abc: 5.647 7.746 7.764
angles: 82.51 68.97 68.85
Space group P-1 (No. 2)
Asymmetric unit:
Li: 0.000 0.000 0.000 [1 per cell]
Li: 0.500 0.000 0.000 [1 per cell]
Tm: 0.000 0.000 0.500 [1 per cell]
Mg: 0.000 0.500 0.500 [1 per cell]
Mg: 0.007 0.342 0.143 [2 per cell]
Mg: 0.288 0.206 0.716 [2 per cell]
Mg: 0.349 0.658 0.143 [2 per cell]
Mg: 0.496 0.795 0.716 [2 per cell]
Mg: 0.500 0.500 0.500 [1 per cell]

=====

Entry 2:
Structure and simulated powder XRD pattern of LiTm2Mg6 (a crystal structure in Alexandria, relaxed with PBE; Cu Kα).
No peak broadening, texture or thermal motion is included.

Largest 10 diffraction maxima, in order of falling intensity, 2θ from 10° to 80°:
index  2θ (°)  I/Imax
6 0 0  34.65  100
1 1 0  11.40  97
3 1 0  19.81  76
3 1 -1  34.36  33
0 2 1  34.49  33
9 3 0  62.15  24
4 0 0  22.92  22
4 2 0  30.47  21
9 1 -1  61.82  14
4 2 1  41.97  14

Atomic structure:
abc: 15.524 8.961 3.194
angles: 90.00 90.49 90.00
Space group C2/m (No. 12)
Asymmetric unit:
Li: 0.000 0.000 0.000 [2 per cell]
Tm: 0.167 0.500 0.000 [4 per cell]
Mg: 0.000 0.330 0.500 [4 per cell]
Mg: 0.166 0.165 0.488 [8 per cell]

=====

Entry 3:
Structure and simulated powder XRD pattern of LiTmMg11 (a crystal structure in Alexandria, relaxed with PBE; Cu Kα).
No peak broadening, texture or thermal motion is included.

Largest 10 diffraction maxima, in order of falling intensity, 2θ from 10° to 80°:
index  2θ (°)  I/Imax
2 2 -2  35.49  100
0 0 1  12.32  99
0 4 2  35.36  97
1 1 0  17.43  95
1 1 -2  24.90  66
1 3 -2  30.62  50
0 4 1  27.79  49
1 3 0  24.77  45
1 1 2  35.11  44
2 2 0  35.22  41

Atomic structure:
abc: 5.860 14.332 7.734
angles: 90.00 111.48 90.00
Space group C2/m (No. 12)
Asymmetric unit:
Li: 0.000 0.000 0.000 [2 per cell]
Tm: 0.000 0.500 0.500 [2 per cell]
Mg: 0.000 0.500 0.000 [2 per cell]
Mg: 0.098 0.104 0.713 [8 per cell]
Mg: 0.175 0.326 0.851 [8 per cell]
Mg: 0.250 0.250 0.500 [4 per cell]

=====

Entry 4:
Structure and simulated powder XRD pattern of LiMgW (a crystal structure in Alexandria, relaxed with PBE; Cu Kα).
No peak broadening, texture or thermal motion is included.

Largest 10 diffraction maxima, in order of falling intensity, 2θ from 10° to 80°:
index  2θ (°)  I/Imax
0 0 2  12.04  100
1 1 3  39.66  37
1 1 1  35.52  31
0 0 4  24.21  20
1 1 5  47.00  15
0 0 6  36.67  12
0 2 2  42.68  9
0 2 0  40.79  9
1 1 7  56.63  8
1 1 9  68.03  8

Atomic structure:
abc: 3.148 4.425 14.704
angles: 90.00 90.00 90.00
Space group Fmm2 (No. 42)
Asymmetric unit:
Li: 0.000 0.000 0.000 [4 per cell]
Mg: 0.000 0.000 0.674 [4 per cell]
W: 0.000 0.000 0.340 [4 per cell]